Entry 1:
Sm2Dy3Ga4: theoretical powder X-ray diffraction pattern (Cu Kα (λ = 1.5418 Å)), based on a DFT-relaxed cell (PBE, Alexandria).
Kinematic intensities with the Lorentz-polarization factor, no thermal factor.

Crystal structure
```
data_Sm2Dy3Ga4
_chemical_formula_sum 'Sm4 Dy6 Ga8'
_space_group_name_H-M_alt 'P 1'
_space_group_IT_number 1
_cell_length_a 7.9828
_cell_length_b 8.0102
_cell_length_c 7.5039
_cell_angle_alpha 90.00
_cell_angle_beta 106.46
_cell_angle_gamma 90.00
loop_
_space_group_symop_operation_xyz
'x,y,z'
loop_
_atom_site_label
_atom_site_type_symbol
_atom_site_fract_x
_atom_site_fract_y
_atom_site_fract_z
_atom_site_occupancy
Sm1 Sm 0.1901 0.1833 0.0737 1
Sm2 Sm 0.1901 0.3167 0.5737 1
Sm3 Sm 0.8099 0.6833 0.4263 1
Sm4 Sm 0.8099 0.8167 0.9263 1
Dy1 Dy 0.2388 0.6746 0.2515 1
Dy2 Dy 0.2388 0.8254 0.7515 1
Dy3 Dy 0.5000 0.0000 0.5000 1
Dy4 Dy 0.5000 0.5000 0.0000 1
Dy5 Dy 0.7612 0.1746 0.2485 1
Dy6 Dy 0.7612 0.3254 0.7485 1
Ga1 Ga 0.0811 0.5295 0.8659 1
Ga2 Ga 0.0811 0.9705 0.3659 1
Ga3 Ga 0.4917 0.1221 0.8793 1
Ga4 Ga 0.4917 0.3779 0.3793 1
Ga5 Ga 0.5083 0.6221 0.6207 1
Ga6 Ga 0.5083 0.8779 0.1207 1
Ga7 Ga 0.9189 0.0295 0.6341 1
Ga8 Ga 0.9189 0.4705 0.1341 1
```

Principal peaks in the range 2θ from 10° to 90°, in order of rising 2θ:
2θ (°), I (rel.)
29.5, 184
31.0, 251
31.5, 160
32.2, 504
32.3, 1000
33.0, 222
35.2, 220
35.9, 336
37.7, 359
47.1, 177

Entry 2:
Tb2MgSe3: theoretical powder X-ray diffraction pattern (Cu Kα (λ = 1.5418 Å)), based on a DFT-relaxed cell (PBE, Alexandria).
Kinematic intensities with the Lorentz-polarization factor, no thermal factor.

Crystal structure
```
data_Tb2MgSe3
_chemical_formula_sum 'Tb4 Mg2 Se6'
_space_group_name_H-M_alt 'P 1'
_space_group_IT_number 1
_cell_length_a 4.0170
_cell_length_b 4.0170
_cell_length_c 17.4194
_cell_angle_alpha 90.00
_cell_angle_beta 90.00
_cell_angle_gamma 90.00
loop_
_space_group_symop_operation_xyz
'x,y,z'
loop_
_atom_site_label
_atom_site_type_symbol
_atom_site_fract_x
_atom_site_fract_y
_atom_site_fract_z
_atom_site_occupancy
Tb1 Tb 0.0000 0.0000 0.1755 1
Tb2 Tb 0.0000 0.0000 0.8245 1
Tb3 Tb 0.5000 0.5000 0.3245 1
Tb4 Tb 0.5000 0.5000 0.6755 1
Mg1 Mg 0.0000 0.0000 0.5000 1
Mg2 Mg 0.5000 0.5000 0.0000 1
Se1 Se 0.0000 0.0000 0.0000 1
Se2 Se 0.0000 0.0000 0.3440 1
Se3 Se 0.0000 0.0000 0.6560 1
Se4 Se 0.5000 0.5000 0.1560 1
Se5 Se 0.5000 0.5000 0.5000 1
Se6 Se 0.5000 0.5000 0.8440 1
```

Principal peaks in the range 2θ from 10° to 90°, in order of rising 2θ:
2θ (°), I (rel.)
10.2, 393
22.7, 152
30.8, 477
31.5, 1000
34.1, 302
44.6, 682
45.1, 367
55.6, 353
74.7, 177
83.0, 225

Entry 3:
CsRbZnPO: theoretical powder X-ray diffraction pattern (Cu Kα (λ = 1.5418 Å)), based on a DFT-relaxed cell (PBE, Alexandria).
Kinematic intensities with the Lorentz-polarization factor, no thermal factor.

Crystal structure
```
data_CsRbZnPO
_chemical_formula_sum 'Cs1 Rb1 Zn1 P1 O1'
_space_group_name_H-M_alt 'P 1'
_space_group_IT_number 1
_cell_length_a 4.2967
_cell_length_b 5.9377
_cell_length_c 7.3173
_cell_angle_alpha 67.54
_cell_angle_beta 73.21
_cell_angle_gamma 89.72
loop_
_space_group_symop_operation_xyz
'x,y,z'
loop_
_atom_site_label
_atom_site_type_symbol
_atom_site_fract_x
_atom_site_fract_y
_atom_site_fract_z
_atom_site_occupancy
Cs1 Cs 0.0000 0.0000 0.0000 1
Rb1 Rb 0.3601 0.3367 0.3466 1
Zn1 Zn 0.6346 0.6211 0.7287 1
P1 P 0.2096 0.7310 0.5748 1
O1 O 0.3405 0.8456 0.3199 1
```

Principal peaks in the range 2θ from 10° to 90°, in order of rising 2θ:
2θ (°), I (rel.)
25.3, 986
25.5, 710
25.7, 722
26.0, 1000
29.3, 861
29.6, 710
30.1, 938
42.0, 616
43.1, 477
50.2, 413

Entry 4:
KRb3O4: theoretical powder X-ray diffraction pattern (Cu Kα (λ = 1.5418 Å)), based on a DFT-relaxed cell (PBE, Alexandria).
Kinematic intensities with the Lorentz-polarization factor, no thermal factor.

Crystal structure
```
data_KRb3O4
_chemical_formula_sum 'K2 Rb6 O8'
_space_group_name_H-M_alt 'P 1'
_space_group_IT_number 1
_cell_length_a 4.3254
_cell_length_b 5.2244
_cell_length_c 15.1060
_cell_angle_alpha 90.00
_cell_angle_beta 90.00
_cell_angle_gamma 90.00
loop_
_space_group_symop_operation_xyz
'x,y,z'
loop_
_atom_site_label
_atom_site_type_symbol
_atom_site_fract_x
_atom_site_fract_y
_atom_site_fract_z
_atom_site_occupancy
K1 K 0.0000 0.0000 0.0000 1
K2 K 0.5000 0.5000 0.5000 1
Rb1 Rb 0.0000 0.0000 0.5000 1
Rb2 Rb 0.0000 0.5000 0.2988 1
Rb3 Rb 0.0000 0.5000 0.7012 1
Rb4 Rb 0.5000 0.0000 0.2012 1
Rb5 Rb 0.5000 0.0000 0.7988 1
Rb6 Rb 0.5000 0.5000 0.0000 1
O1 O 0.0000 0.3538 0.1233 1
O2 O 0.0000 0.3538 0.8767 1
O3 O 0.0000 0.6462 0.1233 1
O4 O 0.0000 0.6462 0.8767 1
O5 O 0.5000 0.1462 0.3767 1
O6 O 0.5000 0.1462 0.6233 1
O7 O 0.5000 0.8538 0.3767 1
O8 O 0.5000 0.8538 0.6233 1
```

Principal peaks in the range 2θ from 10° to 90°, in order of rising 2θ:
2θ (°), I (rel.)
24.6, 254
29.3, 1000
34.3, 293
36.3, 279
41.8, 170
42.1, 102
50.8, 126
55.1, 140
56.0, 138
58.4, 134

Entry 5:
Sr2Ga: theoretical powder X-ray diffraction pattern (Cu Kα (λ = 1.5418 Å)), based on a DFT-relaxed cell (PBE, Alexandria).
Kinematic intensities with the Lorentz-polarization factor, no thermal factor.

Crystal structure
```
data_Sr2Ga
_chemical_formula_sum 'Sr8 Ga4'
_space_group_name_H-M_alt 'P 1'
_space_group_IT_number 1
_cell_length_a 7.8890
_cell_length_b 7.8890
_cell_length_c 7.3155
_cell_angle_alpha 90.00
_cell_angle_beta 90.00
_cell_angle_gamma 90.00
loop_
_space_group_symop_operation_xyz
'x,y,z'
loop_
_atom_site_label
_atom_site_type_symbol
_atom_site_fract_x
_atom_site_fract_y
_atom_site_fract_z
_atom_site_occupancy
Sr1 Sr 0.1885 0.3115 0.0000 1
Sr2 Sr 0.1885 0.6885 0.5000 1
Sr3 Sr 0.3115 0.1885 0.5000 1
Sr4 Sr 0.3115 0.8115 0.0000 1
Sr5 Sr 0.6885 0.1885 0.0000 1
Sr6 Sr 0.6885 0.8115 0.5000 1
Sr7 Sr 0.8115 0.3115 0.5000 1
Sr8 Sr 0.8115 0.6885 0.0000 1
Ga1 Ga 0.0000 0.0000 0.2500 1
Ga2 Ga 0.0000 0.0000 0.7500 1
Ga3 Ga 0.5000 0.5000 0.2500 1
Ga4 Ga 0.5000 0.5000 0.7500 1
```

Principal peaks in the range 2θ from 10° to 90°, in order of rising 2θ:
2θ (°), I (rel.)
28.1, 1000
29.2, 337
32.1, 364
33.4, 971
36.0, 358
45.2, 268
49.2, 427
55.4, 289
61.6, 217
69.5, 216

Entry 6:
Ca3CrCl8: theoretical powder X-ray diffraction pattern (Cu Kα (λ = 1.5418 Å)), based on a DFT-relaxed cell (PBE, Alexandria).
Kinematic intensities with the Lorentz-polarization factor, no thermal factor.

Crystal structure
```
data_Ca3CrCl8
_chemical_formula_sum 'Ca3 Cr1 Cl8'
_space_group_name_H-M_alt 'P 1'
_space_group_IT_number 1
_cell_length_a 7.0320
_cell_length_b 7.0320
_cell_length_c 7.8073
_cell_angle_alpha 90.00
_cell_angle_beta 90.00
_cell_angle_gamma 113.54
loop_
_space_group_symop_operation_xyz
'x,y,z'
loop_
_atom_site_label
_atom_site_type_symbol
_atom_site_fract_x
_atom_site_fract_y
_atom_site_fract_z
_atom_site_occupancy
Ca1 Ca 0.0000 0.0000 0.0000 1
Ca2 Ca 0.0000 0.5000 0.7471 1
Ca3 Ca 0.5000 0.0000 0.2529 1
Cr1 Cr 0.0000 0.0000 0.5000 1
Cl1 Cl 0.2082 0.7918 0.5000 1
Cl2 Cl 0.2187 0.2516 0.7362 1
Cl3 Cl 0.2330 0.7670 0.0000 1
Cl4 Cl 0.2516 0.2187 0.2638 1
Cl5 Cl 0.7484 0.7813 0.2638 1
Cl6 Cl 0.7670 0.2330 0.0000 1
Cl7 Cl 0.7813 0.7484 0.7362 1
Cl8 Cl 0.7918 0.2082 0.5000 1
```

Principal peaks in the range 2θ from 10° to 90°, in order of rising 2θ:
2θ (°), I (rel.)
13.7, 784
17.8, 478
26.7, 196
30.4, 491
32.7, 1000
45.2, 562
46.6, 277
47.2, 153
56.6, 131
57.2, 126

Entry 7:
Bi2SbPd3: theoretical powder X-ray diffraction pattern (Cu Kα (λ = 1.5418 Å)), based on a DFT-relaxed cell (PBE, Alexandria).
Kinematic intensities with the Lorentz-polarization factor, no thermal factor.

Crystal structure
```
data_Bi2SbPd3
_chemical_formula_sum 'Bi4 Sb2 Pd6'
_space_group_name_H-M_alt 'P 1'
_space_group_IT_number 1
_cell_length_a 7.3051
_cell_length_b 7.3051
_cell_length_c 5.7473
_cell_angle_alpha 90.00
_cell_angle_beta 90.00
_cell_angle_gamma 61.70
loop_
_space_group_symop_operation_xyz
'x,y,z'
loop_
_atom_site_label
_atom_site_type_symbol
_atom_site_fract_x
_atom_site_fract_y
_atom_site_fract_z
_atom_site_occupancy
Bi1 Bi 0.0078 0.3400 0.2500 1
Bi2 Bi 0.3400 0.0078 0.7500 1
Bi3 Bi 0.6600 0.9922 0.2500 1
Bi4 Bi 0.9922 0.6600 0.7500 1
Sb1 Sb 0.3135 0.6865 0.2500 1
Sb2 Sb 0.6865 0.3135 0.7500 1
Pd1 Pd 0.0000 0.0000 0.0000 1
Pd2 Pd 0.0000 0.0000 0.5000 1
Pd3 Pd 0.3510 0.3510 0.0000 1
Pd4 Pd 0.3510 0.3510 0.5000 1
Pd5 Pd 0.6490 0.6490 0.0000 1
Pd6 Pd 0.6490 0.6490 0.5000 1
```

Principal peaks in the range 2θ from 10° to 90°, in order of rising 2θ:
2θ (°), I (rel.)
28.4, 490
29.0, 1000
39.5, 382
39.9, 635
42.1, 592
43.3, 250
52.6, 174
54.1, 180
60.0, 185
80.5, 183

Entry 8:
Tl2In4Hg2Bi: theoretical powder X-ray diffraction pattern (Cu Kα (λ = 1.5418 Å)), based on a DFT-relaxed cell (PBE, Alexandria).
Kinematic intensities with the Lorentz-polarization factor, no thermal factor.

Crystal structure
```
data_Tl2In4Hg2Bi
_chemical_formula_sum 'Tl2 In4 Hg2 Bi1'
_space_group_name_H-M_alt 'P 1'
_space_group_IT_number 1
_cell_length_a 3.4512
_cell_length_b 3.4512
_cell_length_c 24.9436
_cell_angle_alpha 90.00
_cell_angle_beta 90.00
_cell_angle_gamma 120.00
loop_
_space_group_symop_operation_xyz
'x,y,z'
loop_
_atom_site_label
_atom_site_type_symbol
_atom_site_fract_x
_atom_site_fract_y
_atom_site_fract_z
_atom_site_occupancy
Tl1 Tl 0.0000 0.0000 0.0000 1
Tl2 Tl 0.0000 0.0000 0.2364 1
In1 In 0.0000 0.0000 0.6669 1
In2 In 0.0000 0.0000 0.8720 1
In3 In 0.3333 0.6667 0.3524 1
In4 In 0.3333 0.6667 0.5576 1
Hg1 Hg 0.0000 0.0000 0.4540 1
Hg2 Hg 0.3333 0.6667 0.7705 1
Bi1 Bi 0.3333 0.6667 0.1170 1
```

Principal peaks in the range 2θ from 10° to 90°, in order of rising 2θ:
2θ (°), I (rel.)
29.9, 493
31.8, 237
32.3, 380
33.2, 603
35.0, 1000
44.6, 246
53.1, 380
60.5, 202
63.5, 331
65.2, 164

Entry 9:
Dy5Ag3: theoretical powder X-ray diffraction pattern (Cu Kα (λ = 1.5418 Å)), based on a DFT-relaxed cell (PBE, Alexandria).
Kinematic intensities with the Lorentz-polarization factor, no thermal factor.

Crystal structure
```
data_Dy5Ag3
_chemical_formula_sum 'Dy5 Ag3'
_space_group_name_H-M_alt 'P 1'
_space_group_IT_number 1
_cell_length_a 3.5956
_cell_length_b 3.5956
_cell_length_c 16.1746
_cell_angle_alpha 90.00
_cell_angle_beta 90.00
_cell_angle_gamma 90.00
loop_
_space_group_symop_operation_xyz
'x,y,z'
loop_
_atom_site_label
_atom_site_type_symbol
_atom_site_fract_x
_atom_site_fract_y
_atom_site_fract_z
_atom_site_occupancy
Dy1 Dy 0.0000 0.0000 0.0000 1
Dy2 Dy 0.0000 0.0000 0.2282 1
Dy3 Dy 0.0000 0.0000 0.7718 1
Dy4 Dy 0.5000 0.5000 0.3843 1
Dy5 Dy 0.5000 0.5000 0.6157 1
Ag1 Ag 0.0000 0.0000 0.5000 1
Ag2 Ag 0.5000 0.5000 0.1132 1
Ag3 Ag 0.5000 0.5000 0.8868 1
```

Principal peaks in the range 2θ from 10° to 90°, in order of rising 2θ:
2θ (°), I (rel.)
33.3, 1000
35.3, 482
44.8, 75
50.8, 174
58.3, 137
62.1, 330
70.0, 78
74.7, 59
84.3, 72
85.4, 77

Entry 10:
Pr8NiRh5: theoretical powder X-ray diffraction pattern (Cu Kα (λ = 1.5418 Å)), based on a DFT-relaxed cell (PBE, Alexandria).
Kinematic intensities with the Lorentz-polarization factor, no thermal factor.

Crystal structure
```
data_Pr8NiRh5
_chemical_formula_sum 'Pr8 Ni1 Rh5'
_space_group_name_H-M_alt 'P 1'
_space_group_IT_number 1
_cell_length_a 7.7416
_cell_length_b 7.7416
_cell_length_c 7.7416
_cell_angle_alpha 109.55
_cell_angle_beta 109.55
_cell_angle_gamma 109.31
loop_
_space_group_symop_operation_xyz
'x,y,z'
loop_
_atom_site_label
_atom_site_type_symbol
_atom_site_fract_x
_atom_site_fract_y
_atom_site_fract_z
_atom_site_occupancy
Pr1 Pr 0.2576 0.5062 0.6323 1
Pr2 Pr 0.3738 0.2413 0.2510 1
Pr3 Pr 0.3747 0.7424 0.2486 1
Pr4 Pr 0.4938 0.1261 0.7514 1
Pr5 Pr 0.7587 0.0097 0.1326 1
Pr6 Pr 0.8739 0.6253 0.3677 1
Pr7 Pr 0.8771 0.6262 0.8674 1
Pr8 Pr 0.9903 0.1229 0.7490 1
Ni1 Ni 0.5000 0.5000 0.0000 1
Rh1 Rh 0.1257 0.0015 0.3784 1
Rh2 Rh 0.2526 0.8743 0.8757 1
Rh3 Rh 0.6231 0.7474 0.6216 1
Rh4 Rh 0.7500 0.2500 0.5000 1
Rh5 Rh 0.9985 0.3769 0.1243 1
```

Principal peaks in the range 2θ from 10° to 90°, in order of rising 2θ:
2θ (°), I (rel.)
28.2, 170
31.7, 1000
37.6, 502
47.7, 115
50.0, 127
52.1, 109
52.2, 211
64.3, 139
67.9, 77
78.7, 88

Entry 11:
NdSmHgO: theoretical powder X-ray diffraction pattern (Cu Kα (λ = 1.5418 Å)), based on a DFT-relaxed cell (PBE, Alexandria).
Kinematic intensities with the Lorentz-polarization factor, no thermal factor.

Crystal structure
```
data_NdSmHgO
_chemical_formula_sum 'Nd2 Sm2 Hg2 O2'
_space_group_name_H-M_alt 'P 1'
_space_group_IT_number 1
_cell_length_a 3.7566
_cell_length_b 3.7828
_cell_length_c 13.7522
_cell_angle_alpha 90.00
_cell_angle_beta 90.00
_cell_angle_gamma 90.00
loop_
_space_group_symop_operation_xyz
'x,y,z'
loop_
_atom_site_label
_atom_site_type_symbol
_atom_site_fract_x
_atom_site_fract_y
_atom_site_fract_z
_atom_site_occupancy
Nd1 Nd 0.0000 0.0000 0.0000 1
Nd2 Nd 0.5000 0.5000 0.5000 1
Sm1 Sm 0.0000 0.0000 0.3051 1
Sm2 Sm 0.5000 0.5000 0.8051 1
Hg1 Hg 0.0000 0.0000 0.6531 1
Hg2 Hg 0.5000 0.5000 0.1531 1
O1 O 0.0000 0.5000 0.8996 1
O2 O 0.5000 0.0000 0.3996 1
```

Principal peaks in the range 2θ from 10° to 90°, in order of rising 2θ:
2θ (°), I (rel.)
30.6, 1000
30.8, 981
33.6, 759
39.3, 209
48.1, 159
48.5, 156
52.7, 412
58.2, 326
58.4, 324
66.0, 159

Entry 12:
Tc2Ni6Pd: theoretical powder X-ray diffraction pattern (Cu Kα (λ = 1.5418 Å)), based on a DFT-relaxed cell (PBE, Alexandria).
Kinematic intensities with the Lorentz-polarization factor, no thermal factor.

Crystal structure
```
data_Tc2Ni6Pd
_chemical_formula_sum 'Tc4 Ni12 Pd2'
_space_group_name_H-M_alt 'P 1'
_space_group_IT_number 1
_cell_length_a 7.7012
_cell_length_b 7.7012
_cell_length_c 4.0744
_cell_angle_alpha 90.00
_cell_angle_beta 90.00
_cell_angle_gamma 75.83
loop_
_space_group_symop_operation_xyz
'x,y,z'
loop_
_atom_site_label
_atom_site_type_symbol
_atom_site_fract_x
_atom_site_fract_y
_atom_site_fract_z
_atom_site_occupancy
Tc1 Tc 0.1111 0.2571 0.2500 1
Tc2 Tc 0.2571 0.1111 0.7500 1
Tc3 Tc 0.7429 0.8889 0.2500 1
Tc4 Tc 0.8889 0.7429 0.7500 1
Ni1 Ni 0.0832 0.7261 0.2500 1
Ni2 Ni 0.1239 0.4650 0.7500 1
Ni3 Ni 0.2739 0.9168 0.2500 1
Ni4 Ni 0.3264 0.4573 0.2500 1
Ni5 Ni 0.4573 0.3264 0.7500 1
Ni6 Ni 0.4650 0.1239 0.2500 1
Ni7 Ni 0.5350 0.8761 0.7500 1
Ni8 Ni 0.5427 0.6736 0.2500 1
Ni9 Ni 0.6736 0.5427 0.7500 1
Ni10 Ni 0.7261 0.0832 0.7500 1
Ni11 Ni 0.8761 0.5350 0.2500 1
Ni12 Ni 0.9168 0.2739 0.7500 1
Pd1 Pd 0.3033 0.6967 0.7500 1
Pd2 Pd 0.6967 0.3033 0.2500 1
```

Principal peaks in the range 2θ from 10° to 90°, in order of rising 2θ:
2θ (°), I (rel.)
23.9, 229
42.6, 122
44.3, 692
44.5, 1000
47.2, 220
62.2, 112
66.9, 152
79.6, 106
81.8, 106
81.9, 96

Entry 13:
Ho4In2C: theoretical powder X-ray diffraction pattern (Cu Kα (λ = 1.5418 Å)), based on a DFT-relaxed cell (PBE, Alexandria).
Kinematic intensities with the Lorentz-polarization factor, no thermal factor.

Crystal structure
```
data_Ho4In2C
_chemical_formula_sum 'Ho4 In2 C1'
_space_group_name_H-M_alt 'P 1'
_space_group_IT_number 1
_cell_length_a 6.2672
_cell_length_b 3.5697
_cell_length_c 8.4984
_cell_angle_alpha 90.00
_cell_angle_beta 108.14
_cell_angle_gamma 90.00
loop_
_space_group_symop_operation_xyz
'x,y,z'
loop_
_atom_site_label
_atom_site_type_symbol
_atom_site_fract_x
_atom_site_fract_y
_atom_site_fract_z
_atom_site_occupancy
Ho1 Ho 0.1325 0.0000 0.2825 1
Ho2 Ho 0.3626 0.5000 0.6412 1
Ho3 Ho 0.6374 0.5000 0.3588 1
Ho4 Ho 0.8675 0.0000 0.7175 1
In1 In 0.2563 0.5000 0.9969 1
In2 In 0.7437 0.5000 0.0031 1
C1 C 0.5000 0.0000 0.5000 1
```

Principal peaks in the range 2θ from 10° to 90°, in order of rising 2θ:
2θ (°), I (rel.)
29.2, 722
31.3, 646
32.9, 1000
33.3, 682
33.5, 570
33.8, 883
35.2, 716
40.4, 326
51.2, 330
52.8, 309

Entry 14:
Nd4AgIr2: theoretical powder X-ray diffraction pattern (Cu Kα (λ = 1.5418 Å)), based on a DFT-relaxed cell (PBE, Alexandria).
Kinematic intensities with the Lorentz-polarization factor, no thermal factor.

Crystal structure
```
data_Nd4AgIr2
_chemical_formula_sum 'Nd8 Ag2 Ir4'
_space_group_name_H-M_alt 'P 1'
_space_group_IT_number 1
_cell_length_a 7.8283
_cell_length_b 7.8283
_cell_length_c 7.8297
_cell_angle_alpha 109.08
_cell_angle_beta 109.08
_cell_angle_gamma 110.23
loop_
_space_group_symop_operation_xyz
'x,y,z'
loop_
_atom_site_label
_atom_site_type_symbol
_atom_site_fract_x
_atom_site_fract_y
_atom_site_fract_z
_atom_site_occupancy
Nd1 Nd 0.0009 0.9991 0.5000 1
Nd2 Nd 0.0997 0.4663 0.8671 1
Nd3 Nd 0.3639 0.8658 0.7294 1
Nd4 Nd 0.4628 0.5967 0.3610 1
Nd5 Nd 0.4663 0.0997 0.3671 1
Nd6 Nd 0.5967 0.4628 0.8610 1
Nd7 Nd 0.8658 0.3639 0.2294 1
Nd8 Nd 0.9991 0.0009 0.0000 1
Ag1 Ag 0.6078 0.8571 0.1145 1
Ag2 Ag 0.8571 0.6078 0.6145 1
Ir1 Ir 0.1012 0.7323 0.2338 1
Ir2 Ir 0.2312 0.3630 0.4948 1
Ir3 Ir 0.3630 0.2312 0.9948 1
Ir4 Ir 0.7323 0.1012 0.7338 1
```

Principal peaks in the range 2θ from 10° to 90°, in order of rising 2θ:
2θ (°), I (rel.)
31.2, 1000
31.6, 420
37.1, 323
37.2, 213
37.4, 230
44.7, 102
47.2, 152
51.3, 124
51.8, 171
63.1, 154